Structure and computed X-ray powder pattern of ErBe17V (a PBE-relaxed structure; Cu Kα X-rays).
Neutral-atom scattering factors, no anomalous dispersion.

Principal peaks in the range 10 to 90 degrees two-theta, in order of rising 2θ:
2θ = 15.9°, rel. 100; 2θ = 21.3°, rel. 56; 2θ = 23.8°, rel. 83; 2θ = 28.8°, rel. 31; 2θ = 34.5°, rel. 82; 2θ = 49.2°, rel. 43

Structural model:
Cell lengths 7.4622, 7.4622, 10.8901 Å; angles 90.00, 90.00, 120.00 degrees
Space group R3m (No. 160, hexagonal axes)
Symmetry-distinct sites (fractional):
Er1 0.0000 0.0000 0.0000
Be1 0.0000 0.0000 0.5595
Be2 0.0000 0.0000 0.7535
Be3 0.0019 0.5009 0.1600
Be4 0.0456 0.3739 0.3280
Be5 0.1696 0.3391 0.1514
Be6 0.1706 0.3412 0.8389
V1 0.0000 0.0000 0.3290

***

Structure and computed X-ray powder pattern of ErZrBeZn (a PBE-relaxed structure; Cu Kα X-rays).
Neutral-atom scattering factors, no anomalous dispersion.

Principal peaks in the range 10 to 90 degrees two-theta, in order of rising 2θ:
2θ = 22.9°, rel. 20; 2θ = 26.6°, rel. 37; 2θ = 37.9°, rel. 100; 2θ = 54.7°, rel. 17; 2θ = 61.8°, rel. 14; 2θ = 68.5°, rel. 34

Structural model:
Cell lengths 6.712, 6.712, 6.712 Å; angles 90.00, 90.00, 90.00 degrees
Space group F-43m (No. 216)
Symmetry-distinct sites (fractional):
Er1 0.000 0.000 0.000
Zr1 0.000 0.000 0.500
Be1 0.250 0.250 0.750
Zn1 0.250 0.250 0.250

***

Structure and computed X-ray powder pattern of ErZrBe17 (a PBE-relaxed structure; Cu Kα X-rays).
Neutral-atom scattering factors, no anomalous dispersion.

Principal peaks in the range 10 to 90 degrees two-theta, in order of rising 2θ:
2θ = 15.7°, rel. 76; 2θ = 21.0°, rel. 36; 2θ = 23.4°, rel. 100; 2θ = 33.8°, rel. 95; 2θ = 41.2°, rel. 32; 2θ = 48.3°, rel. 46

Structural model:
Cell lengths 7.5976, 7.5976, 11.0857 Å; angles 90.00, 90.00, 120.00 degrees
Space group R3m (No. 160, hexagonal axes)
Symmetry-distinct sites (fractional):
Er1 0.0000 0.0000 0.0000
Zr1 0.0000 0.0000 0.6757
Be1 0.0000 0.0000 0.2444
Be2 0.0000 0.0000 0.4363
Be3 0.0010 0.2841 0.3385
Be4 0.0006 0.5003 0.4976
Be5 0.0024 0.5012 0.1793
Be6 0.1680 0.3361 0.1734

***

Structure and computed X-ray powder pattern of EuBeGe (a PBE-relaxed structure; Cu Kα X-rays).
Neutral-atom scattering factors, no anomalous dispersion.

Principal peaks in the range 10 to 90 degrees two-theta, in order of rising 2θ:
2θ = 25.7°, rel. 36; 2θ = 32.9°, rel. 100; 2θ = 45.3°, rel. 27; 2θ = 57.1°, rel. 20; 2θ = 62.7°, rel. 20; 2θ = 75.8°, rel. 18

Structural model:
Cell lengths 3.9997, 3.9997, 4.4094 Å; angles 90.00, 90.00, 120.00 degrees
Space group P-6m2 (No. 187)
Symmetry-distinct sites (fractional):
Eu1 0.0000 0.0000 0.0000
Be1 0.6667 0.3333 0.5000
Ge1 0.3333 0.6667 0.5000

***

Structure and computed X-ray powder pattern of SrEu2BeO5 (a PBE-relaxed structure; Cu Kα X-rays).
Neutral-atom scattering factors, no anomalous dispersion.

Principal peaks in the range 10 to 90 degrees two-theta, in order of rising 2θ:
2θ = 28.4°, rel. 21; 2θ = 29.6°, rel. 45; 2θ = 31.0°, rel. 100; 2θ = 38.0°, rel. 25; 2θ = 40.0°, rel. 17; 2θ = 52.1°, rel. 13

Structural model:
Cell lengths 9.594, 6.640, 7.227 Å; angles 90.00, 90.00, 90.00 degrees
Space group Pna2_1 (No. 33)
Symmetry-distinct sites (fractional):
Sr1 0.174 0.088 0.000
Eu1 0.021 0.586 0.767
Eu2 0.173 0.083 0.541
Be1 0.101 0.810 0.269
O1 0.008 0.019 0.268
O2 0.067 0.693 0.460
O3 0.070 0.686 0.078
O4 0.216 0.339 0.271
O5 0.227 0.372 0.770

***

Structure and computed X-ray powder pattern of BeF2 (a PBE-relaxed structure; Cu Kα X-rays).
Neutral-atom scattering factors, no anomalous dispersion.

Principal peaks in the range 10 to 90 degrees two-theta, in order of rising 2θ:
2θ = 14.9°, rel. 100; 2θ = 25.9°, rel. 30; 2θ = 37.0°, rel. 17; 2θ = 40.1°, rel. 13; 2θ = 45.7°, rel. 28; 2θ = 55.7°, rel. 9

Structural model:
Cell lengths 8.418, 8.418, 8.418 Å; angles 90.00, 90.00, 90.00 degrees
Space group I-43m (No. 217)
Symmetry-distinct sites (fractional):
Be1 0.000 0.250 0.500
F1 0.049 0.356 0.644